Sm2CoC2: calculated XRD peak list (Cu Kα (weighted mean of Kα1 and Kα2)), based on DFT lattice parameters and positions (GGA-PBE).
Neutral-atom scattering factors, no anomalous dispersion.

The 10 most intense peaks (2θ from 15° to 90°), by intensity:
d_spacing	2theta	I/Imax
2.573	34.9	100
2.809	31.9	88
2.604	34.4	77
2.634	34.0	62
1.852	49.2	43
3.704	24.0	37
2.558	35.1	36
1.539	60.1	26
2.320	38.8	22
1.599	57.7	20

Structure:
```
data_Sm2CoC2
_space_group_name_H-M_alt 'P 1'
_space_group_IT_number 1
_space_group_name_Hall 'P 1'
_cell_length_a 6.1970
_cell_length_b 5.2072
_cell_length_c 10.0075
_cell_angle_alpha 90.00
_cell_angle_beta 90.00
_cell_angle_gamma 90.00
loop_
_atom_site_label
_atom_site_type_symbol
_atom_site_fract_x
_atom_site_fract_y
_atom_site_fract_z
Sm1 Sm 0.0097 0.2500 0.2255
Sm2 Sm 0.1996 0.2500 0.5516
Sm3 Sm 0.3004 0.7500 0.0516
Sm4 Sm 0.4903 0.7500 0.7255
Sm5 Sm 0.5097 0.2500 0.2745
Sm6 Sm 0.6996 0.2500 0.9484
Sm7 Sm 0.8004 0.7500 0.4484
Sm8 Sm 0.9903 0.7500 0.7745
Co1 Co 0.2373 0.2500 0.8524
Co2 Co 0.2627 0.7500 0.3524
Co3 Co 0.7373 0.2500 0.6476
Co4 Co 0.7627 0.7500 0.1476
C1 C 0.0227 0.7500 0.2432
C2 C 0.2017 0.7500 0.5363
C3 C 0.2983 0.2500 0.0363
C4 C 0.4773 0.2500 0.7432
C5 C 0.5227 0.7500 0.2568
C6 C 0.7017 0.7500 0.9637
C7 C 0.7983 0.2500 0.4637
C8 C 0.9773 0.2500 0.7568
```

---

TaCoC3: calculated XRD peak list (Cu Kα (weighted mean of Kα1 and Kα2)), based on DFT lattice parameters and positions (GGA-PBE).
Neutral-atom scattering factors, no anomalous dispersion.

The 10 most intense peaks (2θ from 15° to 90°), by intensity:
d_spacing	2theta	I/Imax
1.920	47.3	100
3.538	25.2	68
3.037	29.4	68
2.157	41.9	61
2.353	38.2	57
2.549	35.2	32
2.487	36.1	29
1.651	55.7	23
5.307	16.7	19
1.285	73.7	17

Structure:
```
data_TaCoC3
_space_group_name_H-M_alt 'P 1'
_space_group_IT_number 1
_space_group_name_Hall 'P 1'
_cell_length_a 10.7246
_cell_length_b 10.7246
_cell_length_c 2.6255
_cell_angle_alpha 90.00
_cell_angle_beta 90.00
_cell_angle_gamma 163.55
loop_
_atom_site_label
_atom_site_type_symbol
_atom_site_fract_x
_atom_site_fract_y
_atom_site_fract_z
Ta1 Ta 0.0855 0.9145 0.7500
Ta2 Ta 0.9145 0.0855 0.2500
Co1 Co 0.2155 0.7845 0.2500
Co2 Co 0.7845 0.2155 0.7500
C1 C 0.3120 0.6880 0.2500
C2 C 0.3526 0.6474 0.7500
C3 C 0.4805 0.5195 0.7500
C4 C 0.5195 0.4805 0.2500
C5 C 0.6474 0.3526 0.2500
C6 C 0.6880 0.3120 0.7500
```